(1)
This entry pairs a crystal structure of InAg2Sn2 with its theoretical powder diffractogram. Radiation: λ = 1.5418 Å (Cu Kα). Structure: a crystal structure in Alexandria, relaxed with PBE.

Largest 6 diffraction maxima, most intense first, 2θ = 10–90°:
2theta	I (rel.)	(hkl)
37.1	100	2 1 1
31.9	83	3 1 0
64.2	29	5 2 1
70.0	17	3 1 2
51.9	12	4 1 1
40.7	11	4 0 0

Cell and atoms:
Unit cell a=8.874 b=8.874 c=3.064 alpha=90.00 beta=90.00 gamma=90.00
Space group P4/mbm (No. 127)
Unique sites:
In: 0.000 0.000 0.000
Ag: 0.155 0.345 0.500
Sn: 0.141 0.641 0.000

=====

(2)
This entry pairs a crystal structure of Sc4PBr5 with its theoretical powder diffractogram. Radiation: λ = 1.5418 Å (Cu Kα). Structure: a crystal structure in Alexandria, relaxed with PBE.

Largest 6 diffraction maxima, most intense first, 2θ = 10–90°:
2theta	I (rel.)	(hkl)
32.8	100	1 1 -2
46.3	50	5 1 2
31.9	50	6 0 0
46.6	32	7 1 -2
28.4	28	3 1 0
47.9	17	0 2 0

Cell and atoms:
Unit cell a=17.240 b=3.801 c=7.846 alpha=90.00 beta=102.70 gamma=90.00
Space group C2/m (No. 12)
Unique sites:
Sc: 0.001 0.000 0.213
Sc: 0.145 0.500 0.076
P: 0.000 0.500 0.000
Br: 0.000 0.500 0.500
Br: 0.165 0.000 0.330
Br: 0.171 0.000 0.837

=====

(3)
This entry pairs a crystal structure of DyThBeZn with its theoretical powder diffractogram. Radiation: λ = 1.5418 Å (Cu Kα). Structure: a crystal structure in Alexandria, relaxed with PBE.

Largest 6 diffraction maxima, most intense first, 2θ = 10–90°:
2theta	I (rel.)	(hkl)
35.8	100	2 2 0
25.1	54	2 0 0
64.3	37	4 2 2
58.1	23	4 2 0
51.5	18	4 0 0
86.8	17	6 2 0

Cell and atoms:
Unit cell a=7.097 b=7.097 c=7.097 alpha=90.00 beta=90.00 gamma=90.00
Space group F-43m (No. 216)
Unique sites:
Dy: 0.000 0.000 0.000
Th: 0.000 0.000 0.500
Be: 0.250 0.250 0.250
Zn: 0.250 0.250 0.750

=====

(4)
This entry pairs a crystal structure of La3Mg2Zn with its theoretical powder diffractogram. Radiation: λ = 1.5418 Å (Cu Kα). Structure: a crystal structure in Alexandria, relaxed with PBE.

Largest 6 diffraction maxima, most intense first, 2θ = 10–90°:
2theta	I (rel.)	(hkl)
32.4	100	1 0 3
32.7	52	1 1 0
22.9	37	1 0 0
58.1	37	2 1 3
46.9	19	2 0 0
22.6	17	0 0 3

Cell and atoms:
Unit cell a=3.877 b=3.877 c=11.801 alpha=90.00 beta=90.00 gamma=90.00
Space group P4/mmm (No. 123)
Unique sites:
La: 0.000 0.000 0.000
La: 0.000 0.000 0.352
Mg: 0.500 0.500 0.172
Zn: 0.500 0.500 0.500

=====

(5)
This entry pairs a crystal structure of DyTm2AgC with its theoretical powder diffractogram. Radiation: λ = 1.5418 Å (Cu Kα). Structure: a crystal structure in Alexandria, relaxed with PBE.

Largest 6 diffraction maxima, most intense first, 2θ = 10–90°:
2theta	I (rel.)	(hkl)
32.0	100	1 1 1
37.8	34	2 0 0
64.6	27	3 1 1
53.1	25	2 0 2
35.9	20	0 0 2
62.1	15	1 1 3

Cell and atoms:
Unit cell a=4.765 b=4.765 c=5.003 alpha=90.00 beta=90.00 gamma=90.00
Space group P4mm (No. 99)
Unique sites:
Dy: 0.000 0.000 0.000
Tm: 0.000 0.500 0.502
Ag: 0.500 0.500 0.013
C: 0.000 0.000 0.517

=====

(6)
This entry pairs a crystal structure of Mn2HgI4 with its theoretical powder diffractogram. Radiation: λ = 1.5418 Å (Cu Kα). Structure: a crystal structure in Alexandria, relaxed with PBE.

Largest 6 diffraction maxima, most intense first, 2θ = 10–90°:
2theta	I (rel.)	(hkl)
26.1	100	1 0 2
24.5	86	0 2 0
12.6	73	1 0 -1
23.5	63	2 0 -1
24.7	61	-1 2 1
26.2	55	2 -2 1

Cell and atoms:
Unit cell a=8.437 b=8.742 c=10.605 alpha=103.74 beta=102.40 gamma=116.20
Space group P1 (No. 1)
Unique sites:
Mn: 0.000 0.000 0.000
Mn: 0.009 0.508 0.014
Mn: 0.374 0.318 0.443
Mn: 0.936 0.380 0.570
Hg: 0.008 0.879 0.742
Hg: 0.273 0.645 0.271
I: 0.009 0.125 0.435
I: 0.198 0.556 0.840
I: 0.365 0.222 0.173
I: 0.507 0.675 0.559
I: 0.579 0.196 0.578
I: 0.783 0.154 0.986
I: 0.802 0.673 0.027
I: 0.953 0.621 0.454

=====

(7)
This entry pairs a crystal structure of KAlP4O12 with its theoretical powder diffractogram. Radiation: λ = 1.5418 Å (Cu Kα). Structure: a crystal structure in Alexandria, relaxed with PBE.

Largest 6 diffraction maxima, most intense first, 2θ = 10–90°:
2theta	I (rel.)	(hkl)
14.3	100	0 2 0
33.9	68	0 4 1
22.7	57	0 2 1
17.6	56	3 1 0
27.9	48	5 1 0
18.8	42	2 0 -1

Cell and atoms:
Unit cell a=16.828 b=12.375 c=5.151 alpha=90.00 beta=100.13 gamma=90.00
Space group C2/m (No. 12)
Unique sites:
K: 0.093 0.000 0.242
Al: 0.250 0.250 0.500
P: 0.078 0.224 0.664
P: 0.190 0.379 0.966
O: 0.000 0.286 0.500
O: 0.054 0.123 0.786
O: 0.106 0.316 0.885
O: 0.141 0.216 0.487
O: 0.159 0.500 0.906
O: 0.219 0.367 0.257
O: 0.248 0.349 0.786

=====

(8)
This entry pairs a crystal structure of LaHo3Se4 with its theoretical powder diffractogram. Radiation: λ = 1.5418 Å (Cu Kα). Structure: a crystal structure in Alexandria, relaxed with PBE.

Largest 6 diffraction maxima, most intense first, 2θ = 10–90°:
2theta	I (rel.)	(hkl)
30.7	100	2 0 1
43.9	49	2 4 1
72.5	22	4 4 2
54.0	13	4 4 0
43.3	13	4 0 0
55.1	13	0 4 2

Cell and atoms:
Unit cell a=8.360 b=11.664 c=4.064 alpha=90.00 beta=90.00 gamma=90.00
Space group Cmmm (No. 65)
Unique sites:
La: 0.000 0.000 0.000
Ho: 0.000 0.500 0.000
Ho: 0.250 0.250 0.500
Se: 0.000 0.257 0.000
Se: 0.236 0.500 0.500

=====

(9)
This entry pairs a crystal structure of ErTeBr with its theoretical powder diffractogram. Radiation: λ = 1.5418 Å (Cu Kα). Structure: a crystal structure in Alexandria, relaxed with PBE.

Largest 6 diffraction maxima, most intense first, 2θ = 10–90°:
2theta	I (rel.)	(hkl)
31.6	100	1 1 2
34.3	97	1 0 7
38.4	78	1 1 6
43.9	57	2 0 0
40.7	51	1 0 9
30.6	48	1 1 0

Cell and atoms:
Unit cell a=4.128 b=4.128 c=23.623 alpha=90.00 beta=90.00 gamma=90.00
Space group I-4m2 (No. 119)
Unique sites:
Er: 0.000 0.000 0.158
Te: 0.000 0.000 0.296
Br: 0.000 0.500 0.074

=====

(10)
This entry pairs a crystal structure of La3NdSm6Y2 with its theoretical powder diffractogram. Radiation: λ = 1.5418 Å (Cu Kα). Structure: a crystal structure in Alexandria, relaxed with PBE.

Largest 6 diffraction maxima, most intense first, 2θ = 10–90°:
2theta	I (rel.)	(hkl)
29.9	100	1 3 1
34.7	51	2 0 2
49.9	36	0 6 0
59.3	21	4 0 0
59.3	21	0 6 4
83.7	13	4 6 -4

Cell and atoms:
Unit cell a=6.326 b=10.963 c=12.128 alpha=90.00 beta=100.06 gamma=90.00
Space group C2/m (No. 12)
Unique sites:
La: 0.000 0.000 0.000
La: 0.000 0.333 0.000
Nd: 0.000 0.500 0.500
Sm: 0.248 0.000 0.746
Sm: 0.249 0.333 0.746
Y: 0.000 0.167 0.500

=====

(11)
This entry pairs a crystal structure of Li5TlIn with its theoretical powder diffractogram. Radiation: λ = 1.5418 Å (Cu Kα). Structure: a crystal structure in Alexandria, relaxed with PBE.

Largest 6 diffraction maxima, most intense first, 2θ = 10–90°:
2theta	I (rel.)	(hkl)
22.3	100	1 0 1
23.5	44	0 1 2
38.0	39	1 0 7
38.3	38	1 1 0
47.0	29	1 1 6
31.0	26	0 1 5

Cell and atoms:
Unit cell a=4.6996 b=4.6996 c=20.4143 alpha=90.00 beta=90.00 gamma=120.00
Space group R3m (No. 160, hexagonal axes)
Unique sites:
Li: 0.0000 0.0000 0.0000
Li: 0.0000 0.0000 0.1398
Li: 0.0000 0.0000 0.2899
Li: 0.0000 0.0000 0.4347
Li: 0.0000 0.0000 0.5761
Tl: 0.0000 0.0000 0.8616
In: 0.0000 0.0000 0.7155

=====

(12)
This entry pairs a crystal structure of NaCa3Pm3S8 with its theoretical powder diffractogram. Radiation: λ = 1.5418 Å (Cu Kα). Structure: a crystal structure in Alexandria, relaxed with PBE.

Largest 6 diffraction maxima, most intense first, 2θ = 10–90°:
2theta	I (rel.)	(hkl)
31.3	100	0 2 4
44.9	70	2 2 0
13.5	45	0 0 3
25.9	28	0 2 1
27.1	27	0 0 6
15.5	20	0 1 2

Cell and atoms:
Unit cell a=8.0786 b=8.0786 c=19.7369 alpha=90.00 beta=90.00 gamma=120.00
Space group R-3m (No. 166, hexagonal axes)
Unique sites:
Na: 0.0000 0.0000 0.0000
Ca: 0.0000 0.5000 0.5000
Pm: 0.0000 0.5000 0.0000
S: 0.0000 0.0000 0.2501
S: 0.0029 0.5014 0.2522

=====

(13)
This entry pairs a crystal structure of SrCuRu2O8 with its theoretical powder diffractogram. Radiation: λ = 1.5418 Å (Cu Kα). Structure: a crystal structure in Alexandria, relaxed with PBE.

Largest 6 diffraction maxima, most intense first, 2θ = 10–90°:
2theta	I (rel.)	(hkl)
29.7	100	1 1 -2
23.8	75	2 0 0
28.2	67	0 2 0
34.3	66	1 1 2
50.9	27	1 3 -2
37.7	23	2 2 -1

Cell and atoms:
Unit cell a=7.669 b=6.321 c=7.021 alpha=90.00 beta=103.08 gamma=90.00
Space group C2/m (No. 12)
Unique sites:
Sr: 0.000 0.000 0.000
Cu: 0.000 0.000 0.500
Ru: 0.065 0.500 0.245
O: 0.027 0.245 0.724
O: 0.170 0.500 0.035
O: 0.250 0.000 0.539